Theoretical powder XRD pattern of Na2TlVF8 for Cu Kα, 1.54184 Å, from a GGA+U-relaxed structure.

Cell and atoms:
```
data_Na2TlVF8
_chemical_formula_sum 'Na2 Tl1 V1 F8'
_cell_length_a 5.0640
_cell_length_b 6.8424
_cell_length_c 5.1286
_cell_angle_alpha 90.00
_cell_angle_beta 92.05
_cell_angle_gamma 90.00
_space_group_name_H-M_alt 'P 1 2/m 1'
_space_group_IT_number 10
_space_group_name_Hall '-P 2y'
loop_
_atom_site_label
_atom_site_type_symbol
_atom_site_fract_x
_atom_site_fract_y
_atom_site_fract_z
Na1 Na 0.0000 0.2350 0.0000
Tl1 Tl 0.5000 0.5000 0.5000
V1 V 0.5000 0.0000 0.5000
F1 F 0.2020 0.5000 0.2030
F2 F 0.2292 0.0000 0.2281
F3 F 0.3189 0.2248 0.6776
```

Most intense lines, 10 to 90 degrees two-theta, sorted by position:
d/Å, 2θ (°), Rel. int.
6.842, 12.94, 60
5.125, 17.30, 97
5.061, 17.52, 93
4.102, 21.66, 46
3.667, 24.27, 100
3.538, 25.17, 79
2.846, 31.44, 58
2.834, 31.57, 58
2.502, 35.90, 72
1.919, 47.36, 49